Starting from a cell relaxed with PBE, the X-ray powder pattern of Ni6Mo2P3 was computed for CuKα.
Neutral-atom scattering factors, no anomalous dispersion.

Largest 6 diffraction maxima, low angle first, 2θ = 15–90°:
| h k l | Position (°2θ) | d/Å | intensity |
| --- | --- | --- | --- |
| 1 3 1 | 36.54 | 2.459 | 59 |
| 1 0 2 | 40.75 | 2.214 | 100 |
| 1 2 2 | 43.20 | 2.094 | 69 |
| 1 5 0 | 43.48 | 2.081 | 90 |
| 0 5 2 | 47.63 | 1.909 | 51 |
| 2 0 0 | 51.80 | 1.765 | 71 |

```
data_Ni6Mo2P3
_chemical_formula_sum 'Ni12 Mo4 P6'
_cell_length_a 3.5301
_cell_length_b 12.8837
_cell_length_c 5.6864
_cell_angle_alpha 90.00
_cell_angle_beta 90.00
_cell_angle_gamma 90.00
_space_group_name_H-M_alt 'P m m n'
_space_group_IT_number 59
loop_
_space_group_symop_operation_xyz
'x,y,z'
'-x,-y,-z'
'-x+1/2,-y+1/2,z'
'x+1/2,y+1/2,-z'
'x+1/2,-y,-z'
'-x+1/2,y,z'
'-x,y+1/2,-z'
'x,-y+1/2,z'
loop_
_atom_site_label
_atom_site_type_symbol
_atom_site_fract_x
_atom_site_fract_y
_atom_site_fract_z
_atom_site_occupancy
Ni1 Ni 0.2500 0.0398 0.1369 1
Ni2 Ni 0.2500 0.2500 0.2297 1
Ni3 Ni 0.2500 0.6514 0.0479 1
Ni4 Ni 0.2500 0.7500 0.4380 1
Mo1 Mo 0.2500 0.0823 0.6167 1
P1 P 0.2500 0.2500 0.8270 1
P2 P 0.2500 0.6117 0.6750 1
```